(1)
Structure and theoretical X-ray powder pattern of Er2Tm5Ge4 (DFT lattice parameters and positions (PBE); λ = 1.5418 Å (Cu Kα)).
Kinematic intensities with the Lorentz-polarization factor, no thermal factor.

Principal peaks in the range 15 to 90 degrees two-theta, in order of falling intensity:
2θ/deg, d (Å), I_rel
34.23, 2.620, 100
24.89, 3.578, 39
39.78, 2.266, 36
39.00, 2.310, 24
26.30, 3.388, 17
31.99, 2.797, 16
53.40, 1.716, 16
41.44, 2.179, 15
31.37, 2.852, 13
38.30, 2.350, 12

Atomic structure:
Unit cell a=11.731 b=11.731 c=5.832 alpha=102.43 beta=102.43 gamma=22.28
Sites, in units of the cell vectors:
Er1 0.139 0.139 0.437
Er2 0.861 0.861 0.563
Tm1 0.000 0.000 0.500
Tm2 0.276 0.276 0.799
Tm3 0.423 0.423 0.109
Tm4 0.577 0.577 0.891
Tm5 0.724 0.724 0.201
Ge1 0.159 0.159 0.951
Ge2 0.439 0.439 0.639
Ge3 0.561 0.561 0.361
Ge4 0.841 0.841 0.049



(2)
Structure and theoretical X-ray powder pattern of YErGe (DFT lattice parameters and positions (PBE); λ = 1.5418 Å (Cu Kα)).
Kinematic intensities with the Lorentz-polarization factor, no thermal factor.

Principal peaks in the range 15 to 90 degrees two-theta, in order of falling intensity:
2θ/deg, d (Å), I_rel
33.35, 2.687, 100
31.00, 2.885, 79
37.01, 2.429, 72
35.95, 2.498, 71
30.17, 2.963, 59
31.32, 2.856, 58
34.07, 2.631, 42
34.04, 2.634, 39
53.78, 1.705, 38
26.70, 3.338, 34

Atomic structure:
Unit cell a=6.195 b=6.437 c=7.922 alpha=89.99 beta=89.90 gamma=89.99
Sites, in units of the cell vectors:
Y1 0.115 0.001 0.253
Y2 0.380 0.748 0.899
Y3 0.620 0.252 0.101
Y4 0.885 0.999 0.747
Er1 0.117 0.500 0.253
Er2 0.381 0.253 0.606
Er3 0.619 0.747 0.394
Er4 0.883 0.500 0.747
Ge1 0.190 0.253 0.944
Ge2 0.198 0.747 0.558
Ge3 0.802 0.253 0.442
Ge4 0.810 0.747 0.056



(3)
Structure and theoretical X-ray powder pattern of Er3Zn4Ge2 (DFT lattice parameters and positions (PBE); λ = 1.5418 Å (Cu Kα)).
Kinematic intensities with the Lorentz-polarization factor, no thermal factor.

Principal peaks in the range 15 to 90 degrees two-theta, in order of falling intensity:
2θ/deg, d (Å), I_rel
34.18, 2.624, 100
41.69, 2.166, 62
34.41, 2.607, 61
42.50, 2.127, 32
33.71, 2.659, 28
24.02, 3.705, 25
55.66, 1.651, 18
49.37, 1.846, 14
55.31, 1.661, 14
23.56, 3.776, 13

Atomic structure:
Unit cell a=5.728 b=5.728 c=8.360 alpha=108.36 beta=108.36 gamma=43.59
Sites, in units of the cell vectors:
Er1 0.000 0.000 0.000
Er2 0.323 0.323 0.348
Er3 0.677 0.677 0.652
Zn1 0.016 0.016 0.358
Zn2 0.251 0.251 0.923
Zn3 0.749 0.749 0.077
Zn4 0.984 0.984 0.642
Ge1 0.389 0.389 0.725
Ge2 0.611 0.611 0.275



(4)
Structure and theoretical X-ray powder pattern of Er2Zn16Ge (DFT lattice parameters and positions (PBE); λ = 1.5418 Å (Cu Kα)).
Kinematic intensities with the Lorentz-polarization factor, no thermal factor.

Principal peaks in the range 15 to 90 degrees two-theta, in order of falling intensity:
2θ/deg, d (Å), I_rel
40.29, 2.238, 100
39.74, 2.268, 53
41.87, 2.157, 42
34.24, 2.619, 42
28.56, 3.125, 25
45.17, 2.007, 25
72.14, 1.309, 20
75.45, 1.260, 20
65.41, 1.427, 19
35.97, 2.497, 16

Atomic structure:
Unit cell a=6.784 b=6.784 c=6.784 alpha=83.92 beta=83.92 gamma=83.92
Sites, in units of the cell vectors:
Er1 0.000 0.000 0.000
Er2 0.332 0.332 0.332
Zn1 0.018 0.018 0.497
Zn2 0.018 0.497 0.018
Zn3 0.177 0.661 0.661
Zn4 0.318 0.318 0.834
Zn5 0.318 0.834 0.318
Zn6 0.356 0.667 0.977
Zn7 0.356 0.977 0.667
Zn8 0.497 0.018 0.018
Zn9 0.571 0.571 0.571
Zn10 0.661 0.177 0.661
Zn11 0.661 0.661 0.177
Zn12 0.667 0.356 0.977
Zn13 0.667 0.977 0.356
Zn14 0.834 0.318 0.318
Zn15 0.977 0.356 0.667
Zn16 0.977 0.667 0.356
Ge1 0.770 0.770 0.770



(5)
Structure and theoretical X-ray powder pattern of Er4Zn5Ge6 (DFT lattice parameters and positions (PBE); λ = 1.5418 Å (Cu Kα)).
Kinematic intensities with the Lorentz-polarization factor, no thermal factor.

Principal peaks in the range 15 to 90 degrees two-theta, in order of falling intensity:
2θ/deg, d (Å), I_rel
36.82, 2.441, 100
42.75, 2.115, 55
32.03, 2.794, 35
32.69, 2.739, 30
32.14, 2.785, 25
40.18, 2.244, 24
34.92, 2.570, 23
35.44, 2.533, 20
52.69, 1.737, 17
27.90, 3.198, 17

Atomic structure:
Unit cell a=9.487 b=9.487 c=15.197 alpha=90.00 beta=90.00 gamma=154.23
Sites, in units of the cell vectors:
Er1 0.019 0.981 0.500
Er2 0.033 0.967 0.765
Er3 0.168 0.832 0.303
Er4 0.175 0.825 0.945
Er5 0.825 0.175 0.445
Er6 0.832 0.168 0.803
Er7 0.967 0.033 0.265
Er8 0.981 0.019 0.000
Zn1 0.151 0.849 0.627
Zn2 0.301 0.699 0.625
Zn3 0.345 0.655 0.276
Zn4 0.349 0.651 0.983
Zn5 0.435 0.565 0.687
Zn6 0.565 0.435 0.187
Zn7 0.651 0.349 0.483
Zn8 0.655 0.345 0.776
Zn9 0.699 0.301 0.125
Zn10 0.849 0.151 0.127
Ge1 0.113 0.887 0.118
Ge2 0.223 0.777 0.485
Ge3 0.228 0.772 0.766
Ge4 0.431 0.569 0.410
Ge5 0.433 0.567 0.131
Ge6 0.440 0.560 0.856
Ge7 0.560 0.440 0.356
Ge8 0.567 0.433 0.631
Ge9 0.569 0.431 0.910
Ge10 0.772 0.228 0.266
Ge11 0.777 0.223 0.985
Ge12 0.887 0.113 0.618



(6)
Structure and theoretical X-ray powder pattern of ErZr4Ge4 (DFT lattice parameters and positions (PBE); λ = 1.5418 Å (Cu Kα)).
Kinematic intensities with the Lorentz-polarization factor, no thermal factor.

Principal peaks in the range 15 to 90 degrees two-theta, in order of falling intensity:
2θ/deg, d (Å), I_rel
32.01, 2.796, 100
45.54, 1.992, 55
34.72, 2.583, 46
19.25, 4.610, 45
40.40, 2.232, 44
27.96, 3.191, 26
45.90, 1.977, 21
46.76, 1.943, 17
74.04, 1.280, 16
33.14, 2.703, 16

Atomic structure:
Unit cell a=8.842 b=8.842 c=5.402 alpha=90.00 beta=90.00 gamma=90.00
Sites, in units of the cell vectors:
Er1 0.250 0.250 0.250
Er2 0.750 0.750 0.750
Zr1 0.103 0.640 0.140
Zr2 0.140 0.897 0.640
Zr3 0.360 0.603 0.640
Zr4 0.397 0.860 0.140
Zr5 0.603 0.140 0.860
Zr6 0.640 0.397 0.360
Zr7 0.860 0.103 0.360
Zr8 0.897 0.360 0.860
Ge1 0.043 0.609 0.650
Ge2 0.109 0.957 0.150
Ge3 0.391 0.543 0.150
Ge4 0.457 0.891 0.650
Ge5 0.543 0.109 0.350
Ge6 0.609 0.457 0.850
Ge7 0.891 0.043 0.850
Ge8 0.957 0.391 0.350



(7)
Structure and theoretical X-ray powder pattern of Er3HfH8 (DFT lattice parameters and positions (PBE); λ = 1.5418 Å (Cu Kα)).
Kinematic intensities with the Lorentz-polarization factor, no thermal factor.

Principal peaks in the range 15 to 90 degrees two-theta, in order of falling intensity:
2θ/deg, d (Å), I_rel
31.03, 2.882, 100
35.99, 2.496, 49
61.63, 1.505, 43
51.81, 1.765, 37
84.63, 1.145, 18
87.37, 1.116, 17
64.69, 1.441, 12
76.31, 1.248, 6

Atomic structure:
Unit cell a=4.991 b=4.991 c=4.991 alpha=90.00 beta=90.00 gamma=90.00
Sites, in units of the cell vectors:
Er1 0.000 0.000 0.500
Er2 0.000 0.500 0.000
Er3 0.500 0.000 0.000
Hf1 0.500 0.500 0.500
H1 0.262 0.262 0.262
H2 0.262 0.262 0.738
H3 0.262 0.738 0.262
H4 0.262 0.738 0.738
H5 0.738 0.262 0.262
H6 0.738 0.262 0.738
H7 0.738 0.738 0.262
H8 0.738 0.738 0.738



(8)
Structure and theoretical X-ray powder pattern of ErHgH (DFT lattice parameters and positions (PBE); λ = 1.5418 Å (Cu Kα)).
Kinematic intensities with the Lorentz-polarization factor, no thermal factor.

Principal peaks in the range 15 to 90 degrees two-theta, in order of falling intensity:
2θ/deg, d (Å), I_rel
33.91, 2.643, 100
34.02, 2.635, 55
60.82, 1.523, 38
48.88, 1.863, 20
81.68, 1.179, 18
60.61, 1.528, 14
43.59, 2.076, 10
71.36, 1.322, 9
48.55, 1.875, 7
71.62, 1.318, 7

Atomic structure:
Unit cell a=3.727 b=3.727 c=7.500 alpha=90.00 beta=90.00 gamma=90.00
Sites, in units of the cell vectors:
Er1 0.250 0.250 0.161
Er2 0.750 0.750 0.839
Hg1 0.250 0.250 0.613
Hg2 0.750 0.750 0.387
H1 0.250 0.750 0.000
H2 0.750 0.250 0.000



(9)
Structure and theoretical X-ray powder pattern of Er8In5H (DFT lattice parameters and positions (PBE); λ = 1.5418 Å (Cu Kα)).
Kinematic intensities with the Lorentz-polarization factor, no thermal factor.

Principal peaks in the range 15 to 90 degrees two-theta, in order of falling intensity:
2θ/deg, d (Å), I_rel
35.73, 2.513, 100
32.65, 2.743, 69
32.26, 2.775, 48
28.96, 3.083, 48
34.40, 2.607, 37
29.12, 3.067, 24
60.65, 1.527, 18
37.49, 2.399, 17
51.52, 1.774, 16
53.64, 1.709, 15

Atomic structure:
Unit cell a=7.881 b=7.881 c=7.881 alpha=113.22 beta=113.22 gamma=102.21
Sites, in units of the cell vectors:
Er1 0.215 0.449 0.683
Er2 0.313 0.209 0.266
Er3 0.468 0.785 0.234
Er4 0.551 0.234 0.766
Er5 0.766 0.532 0.317
Er6 0.791 0.057 0.104
Er7 0.943 0.047 0.734
Er8 0.953 0.687 0.896
In1 0.076 0.464 0.162
In2 0.086 0.924 0.388
In3 0.302 0.914 0.838
In4 0.536 0.698 0.612
In5 0.750 0.250 0.500
H1 0.500 0.500 0.000



(10)
Structure and theoretical X-ray powder pattern of Er4HIr2 (DFT lattice parameters and positions (PBE); λ = 1.5418 Å (Cu Kα)).
Kinematic intensities with the Lorentz-polarization factor, no thermal factor.

Principal peaks in the range 15 to 90 degrees two-theta, in order of falling intensity:
2θ/deg, d (Å), I_rel
30.81, 2.902, 100
37.75, 2.383, 93
40.25, 2.240, 82
36.99, 2.430, 58
55.81, 1.647, 36
71.51, 1.319, 29
28.16, 3.168, 28
58.24, 1.584, 28
67.34, 1.391, 22
56.04, 1.641, 21

Atomic structure:
Unit cell a=7.895 b=7.895 c=7.895 alpha=147.03 beta=147.03 gamma=47.32
Sites, in units of the cell vectors:
Er1 0.000 0.500 0.500
Er2 0.186 0.186 0.000
Er3 0.500 0.000 0.500
Er4 0.814 0.814 0.000
H1 0.000 0.000 0.000
Ir1 0.373 0.373 0.000
Ir2 0.627 0.627 0.000